Entry 1:
Calculated X-ray diffraction stick pattern
Compound: Sr2AlCu2NiO7
Radiation: Cu Kα (weighted mean of Kα1 and Kα2)
Structure: a DFT-relaxed cell (PBE+U, the Materials Project)
Peak positions follow from Bragg's law for the DFT cell and can differ from measured ones.

Unit cell a=23.497 b=5.414 c=5.309 alpha=90.00 beta=103.05 gamma=90.00
Space group Cc (No. 9)
Inequivalent atoms, fractional coordinates:
Sr 0.000 0.236 0.000 x4
Sr 0.198 0.236 0.198 x4
Al 0.349 0.250 0.354 x4
Cu 0.290 0.251 0.796 x4
Cu 0.409 0.249 0.915 x4
Ni 0.099 0.322 0.560 x4
O 0.023 0.217 0.544 x4
O 0.099 0.358 0.201 x4
O 0.176 0.217 0.695 x4
O 0.294 0.426 0.125 x4
O 0.295 0.072 0.480 x4
O 0.403 0.428 0.588 x4
O 0.405 0.074 0.236 x4

Most intense lines, 2θ from 10° to 80°, low angle first:
28.24 deg, intensity 53.2, (3 1 1); 33.09 deg, intensity 49.4, (0 2 0); 33.32 deg, intensity 100.0, (5 1 1); 33.77 deg, intensity 52.7, (2 0 -2); 39.40 deg, intensity 64.7, (10 0 0); 48.00 deg, intensity 43.5, (2 2 -2); 52.34 deg, intensity 15.6, (10 2 0); 59.26 deg, intensity 20.0, (5 3 1); 60.12 deg, intensity 21.0, (3 1 3); 63.75 deg, intensity 20.1, (8 2 2)

---

Entry 2:
Calculated X-ray diffraction stick pattern
Compound: Li2CrFeO4
Radiation: Cu Kα (weighted mean of Kα1 and Kα2)
Structure: a DFT-relaxed cell (PBE+U, the Materials Project)
Peak positions follow from Bragg's law for the DFT cell and can differ from measured ones.

Unit cell a=5.164 b=5.952 c=7.871 alpha=79.12 beta=77.33 gamma=73.34
Space group P-1 (No. 2)
Inequivalent atoms, fractional coordinates:
Li 0.000 0.000 0.000 x1
Li 0.000 0.500 0.000 x1
Li 0.002 0.165 0.333 x2
Li 0.002 0.331 0.668 x2
Cr 0.499 0.165 0.833 x2
Cr 0.500 0.000 0.500 x1
Fe 0.500 0.335 0.166 x2
Fe 0.500 0.500 0.500 x1
O 0.270 0.493 0.749 x2
O 0.271 0.327 0.415 x2
O 0.273 0.160 0.080 x2
O 0.273 0.663 0.082 x2
O 0.274 0.994 0.747 x2
O 0.275 0.828 0.414 x2

Most intense lines, 2θ from 10° to 80°, low angle first:
18.21 deg, intensity 100.0, (1 0 0); 35.37 deg, intensity 42.1, (0 0 3); 36.97 deg, intensity 16.9, (2 0 0); 42.93 deg, intensity 54.5, (2 2 2); 43.00 deg, intensity 27.1, (1 0 -3); 56.72 deg, intensity 11.3, (2 -2 1); 62.27 deg, intensity 14.4, (3 0 3); 62.41 deg, intensity 29.7, (1 4 1); 65.60 deg, intensity 11.9, (1 -2 4); 78.76 deg, intensity 10.0, (2 4 -2)

---

Entry 3:
Calculated X-ray diffraction stick pattern
Compound: Mn12O7F17
Radiation: Cu Kα (weighted mean of Kα1 and Kα2)
Structure: a DFT-relaxed cell (PBE+U, the Materials Project)
Peak positions follow from Bragg's law for the DFT cell and can differ from measured ones.

Unit cell a=4.781 b=5.725 c=16.002 alpha=90.09 beta=90.30 gamma=92.54
Space group P1 (No. 1)
Inequivalent atoms, fractional coordinates:
Mn 0.000 0.000 0.000 x1
Mn 0.001 0.343 0.844 x1
Mn 0.028 0.005 0.662 x1
Mn 0.460 0.839 0.842 x1
Mn 0.467 0.521 0.664 x1
Mn 0.471 0.526 0.335 x1
Mn 0.473 0.523 0.000 x1
Mn 0.488 0.826 0.499 x1
Mn 0.506 0.842 0.157 x1
Mn 0.975 0.021 0.339 x1
Mn 0.994 0.336 0.509 x1
Mn 0.994 0.339 0.177 x1
O 0.201 0.292 0.288 x1
O 0.215 0.279 0.952 x1
O 0.217 0.289 0.612 x1
O 0.245 0.771 0.945 x1
O 0.281 0.778 0.604 x1
O 0.691 0.794 0.390 x1
O 0.717 0.781 0.049 x1
F 0.198 0.064 0.116 x1
F 0.203 0.055 0.448 x1
F 0.210 0.069 0.779 x1
F 0.237 0.789 0.274 x1
F 0.243 0.576 0.775 x1
F 0.246 0.561 0.442 x1
F 0.251 0.561 0.113 x1
F 0.699 0.561 0.227 x1
F 0.701 0.562 0.885 x1
F 0.714 0.792 0.722 x1
F 0.725 0.569 0.555 x1
F 0.740 0.287 0.062 x1
F 0.740 0.303 0.723 x1
F 0.741 0.295 0.400 x1
F 0.745 0.064 0.232 x1
F 0.748 0.058 0.558 x1
F 0.749 0.066 0.892 x1

Most intense lines, 2θ from 10° to 80°, low angle first:
23.74 deg, intensity 86.9, (1 -1 0); 24.81 deg, intensity 76.1, (1 1 0); 29.07 deg, intensity 100.0, (-1 1 3); 29.16 deg, intensity 85.2, (1 -1 3); 29.94 deg, intensity 84.2, (1 1 -3); 30.08 deg, intensity 91.2, (1 1 3); 33.60 deg, intensity 38.4, (0 0 6); 35.62 deg, intensity 52.9, (0 2 -3); 51.21 deg, intensity 41.8, (2 0 -6); 51.50 deg, intensity 41.7, (2 0 6)

---

Entry 4:
Calculated X-ray diffraction stick pattern
Compound: Sr3Fe2Ag2S2O5
Radiation: Cu Kα (weighted mean of Kα1 and Kα2)
Structure: a DFT-relaxed cell (PBE+U, the Materials Project)
Peak positions follow from Bragg's law for the DFT cell and can differ from measured ones.

Unit cell a=4.010 b=4.010 c=27.678 alpha=90.00 beta=90.00 gamma=90.00
Space group I4/mmm (No. 139)
Inequivalent atoms, fractional coordinates:
Sr 0.000 0.000 0.000 x2
Sr 0.000 0.000 0.135 x4
Fe 0.000 0.000 0.431 x4
Ag 0.000 0.500 0.250 x4
S 0.000 0.000 0.315 x4
O 0.000 0.000 0.500 x2
O 0.000 0.500 0.078 x8

Most intense lines, 2θ from 10° to 80°, low angle first:
31.78 deg, intensity 100.0, (1 0 7); 32.23 deg, intensity 62.7, (1 1 2); 34.18 deg, intensity 49.0, (1 1 4); 36.83 deg, intensity 25.0, (1 0 9); 37.22 deg, intensity 78.4, (1 1 6); 45.23 deg, intensity 73.4, (2 0 0); 56.34 deg, intensity 37.6, (2 1 7); 56.76 deg, intensity 36.6, (1 1 14); 65.89 deg, intensity 22.0, (2 2 0); 72.12 deg, intensity 20.3, (2 0 16)

---

Entry 5:
Calculated X-ray diffraction stick pattern
Compound: Li2MnPCO7
Radiation: Cu Kα (weighted mean of Kα1 and Kα2)
Structure: a DFT-relaxed cell (PBE+U, the Materials Project)
Peak positions follow from Bragg's law for the DFT cell and can differ from measured ones.

Unit cell a=5.029 b=8.428 c=13.063 alpha=90.31 beta=90.03 gamma=94.19
Space group P1 (No. 1)
Inequivalent atoms, fractional coordinates:
Li 0.000 0.000 0.000 x1
Li 0.004 0.989 0.754 x1
Li 0.468 0.860 0.389 x1
Li 0.484 0.498 0.748 x1
Li 0.491 0.506 0.018 x1
Li 0.512 0.486 0.524 x1
Li 0.521 0.501 0.241 x1
Li 0.995 0.020 0.275 x1
Mn 0.034 0.413 0.883 x1
Mn 0.062 0.412 0.381 x1
Mn 0.443 0.095 0.132 x1
Mn 0.450 0.087 0.629 x1
P 0.511 0.176 0.883 x1
P 0.535 0.167 0.377 x1
P 0.982 0.334 0.629 x1
P 0.987 0.343 0.137 x1
C 0.514 0.805 0.126 x1
C 0.522 0.803 0.640 x1
C 0.951 0.705 0.372 x1
C 0.966 0.699 0.883 x1
O 0.079 0.168 0.138 x1
O 0.079 0.434 0.721 x1
O 0.089 0.166 0.633 x1
O 0.090 0.425 0.532 x1
O 0.095 0.431 0.042 x1
O 0.110 0.436 0.231 x1
O 0.199 0.637 0.882 x1
O 0.202 0.686 0.379 x1
O 0.274 0.847 0.126 x1
O 0.286 0.856 0.632 x1
O 0.405 0.065 0.287 x1
O 0.405 0.088 0.979 x1
O 0.410 0.079 0.790 x1
O 0.412 0.347 0.880 x1
O 0.420 0.334 0.385 x1
O 0.471 0.064 0.471 x1
O 0.568 0.657 0.636 x1
O 0.584 0.665 0.129 x1
O 0.669 0.312 0.626 x1
O 0.677 0.328 0.141 x1
O 0.702 0.929 0.125 x1
O 0.712 0.919 0.648 x1
O 0.767 0.587 0.885 x1
O 0.788 0.572 0.379 x1
O 0.825 0.200 0.885 x1
O 0.836 0.196 0.358 x1
O 0.849 0.836 0.359 x1
O 0.937 0.845 0.881 x1

Most intense lines, 2θ from 10° to 80°, low angle first:
10.52 deg, intensity 100.0, (0 1 0); 17.19 deg, intensity 35.5, (0 1 2); 19.94 deg, intensity 28.1, (1 -1 0); 21.28 deg, intensity 44.6, (1 1 0); 22.35 deg, intensity 17.2, (1 0 -2); 25.32 deg, intensity 27.1, (1 1 2); 26.66 deg, intensity 33.2, (1 -2 0); 27.31 deg, intensity 81.5, (0 0 4); 36.64 deg, intensity 18.9, (2 -1 0); 42.89 deg, intensity 16.6, (0 1 -6)

---

Entry 6:
Calculated X-ray diffraction stick pattern
Compound: Na2SrVP2O9
Radiation: Cu Kα (weighted mean of Kα1 and Kα2)
Structure: a DFT-relaxed cell (PBE+U, the Materials Project)
Peak positions follow from Bragg's law for the DFT cell and can differ from measured ones.

Unit cell a=10.804 b=6.721 c=10.381 alpha=90.00 beta=90.00 gamma=90.00
Space group Pnma (No. 62)
Inequivalent atoms, fractional coordinates:
Na 0.217 0.000 0.135 x8
Sr 0.057 0.250 0.404 x4
V 0.028 0.250 0.812 x4
P 0.086 0.750 0.868 x4
P 0.184 0.750 0.415 x4
O 0.008 0.565 0.819 x8
O 0.096 0.750 0.017 x4
O 0.103 0.250 0.673 x4
O 0.131 0.567 0.485 x8
O 0.147 0.750 0.270 x4
O 0.173 0.250 0.931 x4
O 0.215 0.750 0.803 x4

Most intense lines, 2θ from 10° to 80°, low angle first:
16.41 deg, intensity 44.0, (2 0 0); 23.16 deg, intensity 38.3, (1 1 2); 26.52 deg, intensity 91.5, (0 2 0); 29.42 deg, intensity 70.1, (3 1 1); 30.20 deg, intensity 72.5, (3 0 2); 31.35 deg, intensity 39.3, (2 2 0); 32.81 deg, intensity 100.0, (1 2 2); 33.08 deg, intensity 45.4, (3 1 2); 33.52 deg, intensity 76.5, (2 1 3); 44.89 deg, intensity 46.2, (5 1 1)

---

Copy entry 4 word for word.
Calculated X-ray diffraction stick pattern
Compound: Sr3Fe2Ag2S2O5
Radiation: Cu Kα (weighted mean of Kα1 and Kα2)
Structure: a DFT-relaxed cell (PBE+U, the Materials Project)
Peak positions follow from Bragg's law for the DFT cell and can differ from measured ones.

Unit cell a=4.010 b=4.010 c=27.678 alpha=90.00 beta=90.00 gamma=90.00
Space group I4/mmm (No. 139)
Inequivalent atoms, fractional coordinates:
Sr 0.000 0.000 0.000 x2
Sr 0.000 0.000 0.135 x4
Fe 0.000 0.000 0.431 x4
Ag 0.000 0.500 0.250 x4
S 0.000 0.000 0.315 x4
O 0.000 0.000 0.500 x2
O 0.000 0.500 0.078 x8

Most intense lines, 2θ from 10° to 80°, low angle first:
31.78 deg, intensity 100.0, (1 0 7); 32.23 deg, intensity 62.7, (1 1 2); 34.18 deg, intensity 49.0, (1 1 4); 36.83 deg, intensity 25.0, (1 0 9); 37.22 deg, intensity 78.4, (1 1 6); 45.23 deg, intensity 73.4, (2 0 0); 56.34 deg, intensity 37.6, (2 1 7); 56.76 deg, intensity 36.6, (1 1 14); 65.89 deg, intensity 22.0, (2 2 0); 72.12 deg, intensity 20.3, (2 0 16)